1.
This entry pairs a crystal structure of RbB with its simulated PXRD pattern. Radiation: Cu Kα X-rays. Structure: a cell relaxed with PBE.
Intensities are scaled so that the largest is 100.

Peak list (10 most intense, 15 to 90 degrees two-theta, most intense first)
two_theta	Rel. int.
28.09	100
24.46	100
31.47	81
19.51	77
34.28	53
34.44	48
51.88	37
47.77	34
43.16	32
19.99	31

Atomic structure:
```
16
Lattice="6.352 0.000 0.000 0.000 8.882 0.000 0.000 0.000 9.101" Properties=species:S:1:pos:R:3 pbc="T T T"
Rb 0.028 0.637 1.903
Rb 0.027 5.102 6.436
Rb 3.149 3.780 1.885
Rb 3.148 8.245 6.453
Rb 3.203 3.804 7.199
Rb 3.203 8.221 2.666
Rb 6.325 0.661 7.217
Rb 6.324 5.078 2.648
B 0.099 6.704 9.101
B 1.490 2.225 4.554
B 1.686 6.657 0.003
B 3.077 2.178 4.551
B 3.275 6.619 0.000
B 4.666 2.216 4.547
B 4.861 6.666 9.098
B 6.253 2.263 4.551
```

2.
This entry pairs a crystal structure of RbB12 with its simulated PXRD pattern. Radiation: Cu Kα X-rays. Structure: a cell relaxed with PBE.
Intensities are scaled so that the largest is 100.

Peak list (10 most intense, 15 to 90 degrees two-theta, most intense first)
two_theta	Rel. int.
38.82	100
23.12	62
19.99	49
72.70	29
40.62	29
58.79	27
51.79	27
32.92	25
73.90	22
53.24	14

Atomic structure:
```
13
Lattice="0.000 3.847 3.847 3.847 0.000 3.847 3.847 3.847 0.000" Properties=species:S:1:pos:R:3 pbc="T T T"
Rb 0.000 0.000 0.000
B 3.847 2.567 2.567
B 5.128 3.847 2.567
B 5.128 2.567 3.847
B 2.567 3.847 2.567
B 3.847 5.128 2.567
B 2.567 2.567 3.847
B 5.128 5.128 3.847
B 3.847 2.567 5.128
B 5.128 3.847 5.128
B 2.567 5.128 3.847
B 2.567 3.847 5.128
B 3.847 5.128 5.128
```

3.
This entry pairs a crystal structure of Rb8B3S8 with its simulated PXRD pattern. Radiation: Cu Kα X-rays. Structure: a cell relaxed with PBE.
Intensities are scaled so that the largest is 100.

Peak list (10 most intense, 15 to 90 degrees two-theta, most intense first)
two_theta	Rel. int.
27.06	100
23.99	37
25.75	34
30.30	32
29.73	32
23.46	30
41.08	30
19.13	27
40.64	24
29.44	21

Atomic structure:
```
19
Lattice="11.801 -3.293 0.000 11.801 3.293 0.000 -3.044 0.000 8.787" Properties=species:S:1:pos:R:3 pbc="T T T"
Rb -0.112 0.000 2.184
Rb 2.229 0.000 6.920
Rb 6.012 0.000 4.728
Rb 8.738 0.000 0.470
Rb 11.821 0.000 8.317
Rb 14.547 0.000 4.059
Rb 18.330 0.000 1.867
Rb 20.671 0.000 6.604
B 3.709 0.000 1.702
B 10.279 0.000 4.394
B 16.850 0.000 7.085
S 2.618 0.000 0.202
S 2.966 0.000 3.384
S 5.545 0.000 1.484
S 9.411 0.000 5.852
S 11.148 0.000 2.935
S 15.014 0.000 7.304
S 17.593 0.000 5.403
S 17.941 0.000 8.585
```

What did the third record say?
This entry pairs a crystal structure of Rb8B3S8 with its simulated PXRD pattern. Radiation: Cu Kα X-rays. Structure: a cell relaxed with PBE.
Intensities are scaled so that the largest is 100.

Peak list (10 most intense, 15 to 90 degrees two-theta, most intense first)
two_theta	Rel. int.
27.06	100
23.99	37
25.75	34
30.30	32
29.73	32
23.46	30
41.08	30
19.13	27
40.64	24
29.44	21

Atomic structure:
```
19
Lattice="11.801 -3.293 0.000 11.801 3.293 0.000 -3.044 0.000 8.787" Properties=species:S:1:pos:R:3 pbc="T T T"
Rb -0.112 0.000 2.184
Rb 2.229 0.000 6.920
Rb 6.012 0.000 4.728
Rb 8.738 0.000 0.470
Rb 11.821 0.000 8.317
Rb 14.547 0.000 4.059
Rb 18.330 0.000 1.867
Rb 20.671 0.000 6.604
B 3.709 0.000 1.702
B 10.279 0.000 4.394
B 16.850 0.000 7.085
S 2.618 0.000 0.202
S 2.966 0.000 3.384
S 5.545 0.000 1.484
S 9.411 0.000 5.852
S 11.148 0.000 2.935
S 15.014 0.000 7.304
S 17.593 0.000 5.403
S 17.941 0.000 8.585
```